1.
The following is a theoretical X-ray diffraction stick pattern of Tb2PrWO8. It was derived from a crystal structure in Alexandria, relaxed with GGA+U, using a wavelength of 1.5418 Å.
Lines closer than 0.1° are merged.

Main lines, sorted by position (5 to 70 degrees two-theta):
2θ = 24.7°, intensity 55; 2θ = 24.9°, intensity 53; 2θ = 30.9°, intensity 100; 2θ = 35.3°, intensity 29; 2θ = 47.5°, intensity 39; 2θ = 47.8°, intensity 37

Crystal structure
Cell: 5.083 5.083 7.031 Å, 90.00 90.00 90.45°
Fractional positions:
Tb: 0.000 0.000 0.241
Tb: 0.000 0.000 0.759
Pr: 0.500 0.500 0.500
W: 0.500 0.500 0.000
O: 0.181 0.181 0.500
O: 0.225 0.225 0.000
O: 0.316 0.684 0.204
O: 0.316 0.684 0.796
O: 0.684 0.316 0.204
O: 0.684 0.316 0.796
O: 0.775 0.775 0.000
O: 0.819 0.819 0.500

2.
The following is a theoretical X-ray diffraction stick pattern of Cs3MnO4. It was derived from a crystal structure in Alexandria, relaxed with GGA+U, using a wavelength of 1.5418 Å.
Lines closer than 0.1° are merged.

Main lines, sorted by position (5 to 70 degrees two-theta):
2θ = 26.9°, intensity 97; 2θ = 27.1°, intensity 100; 2θ = 27.4°, intensity 41; 2θ = 29.9°, intensity 65; 2θ = 32.7°, intensity 27; 2θ = 33.2°, intensity 26

Crystal structure
Cell: 8.403 10.552 8.498 Å, 90.00 90.00 90.00°
Fractional positions:
Cs: 0.035 0.042 0.223
Cs: 0.035 0.458 0.223
Cs: 0.181 0.750 0.422
Cs: 0.319 0.250 0.922
Cs: 0.465 0.542 0.723
Cs: 0.465 0.958 0.723
Cs: 0.535 0.042 0.277
Cs: 0.535 0.458 0.277
Cs: 0.681 0.750 0.078
Cs: 0.819 0.250 0.578
Cs: 0.965 0.542 0.777
Cs: 0.965 0.958 0.777
Mn: 0.231 0.750 0.990
Mn: 0.269 0.250 0.490
Mn: 0.731 0.750 0.510
Mn: 0.769 0.250 0.010
O: 0.039 0.750 0.062
O: 0.172 0.114 0.552
O: 0.172 0.386 0.552
O: 0.223 0.750 0.786
O: 0.277 0.250 0.286
O: 0.328 0.614 0.052
O: 0.328 0.886 0.052
O: 0.461 0.250 0.562
O: 0.539 0.750 0.438
O: 0.672 0.114 0.948
O: 0.672 0.386 0.948
O: 0.723 0.750 0.714
O: 0.777 0.250 0.214
O: 0.828 0.614 0.448
O: 0.828 0.886 0.448
O: 0.961 0.250 0.938